[1]
Simulated XRD peak list
Compound: YNb2Cd6
Radiation: λ = 1.5418 Å (Cu Kα)
Structure: a DFT-relaxed cell (GGA-PBE, OQMD)
Kinematic intensities with the Lorentz-polarization factor, no thermal factor.

```
YNb2Cd6
1.0
5.394 -2.432 0.000
5.394 2.432 0.000
-2.183 0.000 7.212
Y Nb Cd
1 2 6
Direct
0.000 0.000 0.000
0.109 0.107 0.641
0.893 0.891 0.359
0.226 0.223 0.345
0.320 0.321 0.019
0.448 0.445 0.671
0.555 0.552 0.329
0.679 0.680 0.981
0.777 0.774 0.655
```

Top 6 peaks for 10 to 90 degrees two-theta, by intensity:
two_theta  intensity
36.98  100
35.56  70
37.41  30
53.60  20
66.63  16
50.86  12

***

[2]
Simulated XRD peak list
Compound: NdCd11
Radiation: λ = 1.5418 Å (Cu Kα)
Structure: a DFT-relaxed cell (GGA-PBE, OQMD)
Kinematic intensities with the Lorentz-polarization factor, no thermal factor.

```
NdCd11
1.0
9.335 0.000 0.000
0.000 9.335 0.000
0.000 0.000 9.335
Nd Cd
3 33
Direct
0.000 0.000 0.500
0.000 0.500 0.000
0.500 0.000 0.000
0.000 0.345 0.345
0.000 0.345 0.655
0.000 0.655 0.345
0.000 0.655 0.655
0.157 0.157 0.157
0.157 0.157 0.843
0.157 0.843 0.157
0.157 0.843 0.843
0.266 0.266 0.500
0.266 0.500 0.266
0.266 0.500 0.734
0.266 0.734 0.500
0.345 0.000 0.345
0.345 0.000 0.655
0.345 0.345 0.000
0.345 0.655 0.000
0.500 0.266 0.266
0.500 0.266 0.734
0.500 0.500 0.500
0.500 0.734 0.266
0.500 0.734 0.734
0.655 0.000 0.345
0.655 0.000 0.655
0.655 0.345 0.000
0.655 0.655 0.000
0.734 0.266 0.500
0.734 0.500 0.266
0.734 0.500 0.734
0.734 0.734 0.500
0.843 0.157 0.157
0.843 0.157 0.843
0.843 0.843 0.157
0.843 0.843 0.843
```

Top 6 peaks for 10 to 90 degrees two-theta, by intensity:
two_theta  intensity
39.81  100
31.79  93
33.25  82
41.02  70
44.47  52
34.65  49

***

[3]
Simulated XRD peak list
Compound: Nd4Cd3Ni2
Radiation: λ = 1.5418 Å (Cu Kα)
Structure: a DFT-relaxed cell (GGA-PBE, OQMD)
Kinematic intensities with the Lorentz-polarization factor, no thermal factor.

```
Nd4Cd3Ni2
1.0
7.585 0.000 0.000
0.000 3.748 0.000
-2.516 0.000 7.885
Nd Cd Ni
4 3 2
Direct
0.085 0.000 0.217
0.392 0.000 0.687
0.608 0.000 0.313
0.915 0.000 0.783
0.000 0.500 0.500
0.302 0.500 0.008
0.698 0.500 0.992
0.345 0.500 0.393
0.655 0.500 0.607
```

Top 6 peaks for 10 to 90 degrees two-theta, by intensity:
two_theta  intensity
32.98  100
33.84  96
30.18  41
35.61  35
56.12  31
48.59  31

***

[4]
Simulated XRD peak list
Compound: Nd2Cd4NiPd
Radiation: λ = 1.5418 Å (Cu Kα)
Structure: a DFT-relaxed cell (GGA-PBE, OQMD)
Kinematic intensities with the Lorentz-polarization factor, no thermal factor.

```
Nd2Cd4NiPd
1.0
8.320 0.000 0.000
0.000 2.118 4.997
0.000 -2.118 4.997
Nd Cd Ni Pd
2 4 1 1
Direct
0.000 0.000 0.000
0.500 0.129 0.129
0.193 0.709 0.709
0.292 0.419 0.419
0.708 0.419 0.419
0.807 0.709 0.709
0.000 0.287 0.287
0.500 0.841 0.841
```

Top 6 peaks for 10 to 90 degrees two-theta, by intensity:
two_theta  intensity
31.44  100
35.95  63
42.69  33
37.07  30
34.24  28
37.59  24

***

[5]
Simulated XRD peak list
Compound: Nd2CdSb4Pd
Radiation: λ = 1.5418 Å (Cu Kα)
Structure: a DFT-relaxed cell (GGA-PBE, OQMD)
Kinematic intensities with the Lorentz-polarization factor, no thermal factor.

```
Nd2CdSb4Pd
1.0
4.388 0.000 0.000
0.000 4.388 0.000
0.000 0.000 10.630
Nd Cd Sb Pd
2 1 4 1
Direct
0.000 0.500 0.238
0.500 0.000 0.762
0.000 0.000 0.500
0.000 0.000 0.000
0.000 0.500 0.678
0.500 0.000 0.322
0.500 0.500 0.000
0.500 0.500 0.500
```

Top 6 peaks for 10 to 90 degrees two-theta, by intensity:
two_theta  intensity
33.44  100
41.14  34
70.08  23
54.21  14
33.73  14
26.34  13

***

[6]
Simulated XRD peak list
Compound: PrNdCd
Radiation: λ = 1.5418 Å (Cu Kα)
Structure: a DFT-relaxed cell (GGA-PBE, OQMD)
Kinematic intensities with the Lorentz-polarization factor, no thermal factor.

```
PrNdCd
1.0
0.000 3.677 3.677
3.677 0.000 3.677
3.677 3.677 0.000
Pr Nd Cd
1 1 1
Direct
0.000 0.000 0.000
0.250 0.250 0.250
0.750 0.750 0.750
```

Top 6 peaks for 10 to 90 degrees two-theta, by intensity:
two_theta  intensity
34.50  100
61.81  36
20.92  31
49.59  18
40.69  17
83.07  16

***

[7]
Simulated XRD peak list
Compound: PrNdCd4
Radiation: λ = 1.5418 Å (Cu Kα)
Structure: a DFT-relaxed cell (GGA-PBE, OQMD)
Kinematic intensities with the Lorentz-polarization factor, no thermal factor.

```
PrNdCd4
1.0
3.438 0.000 0.000
0.000 5.082 0.000
0.000 0.000 8.811
Pr Nd Cd
1 1 4
Direct
0.000 0.000 0.000
0.000 0.500 0.500
0.498 0.000 0.665
0.498 0.500 0.168
0.502 0.000 0.335
0.502 0.500 0.832
```

Top 6 peaks for 10 to 90 degrees two-theta, by intensity:
two_theta  intensity
33.06  100
35.31  87
49.14  32
61.95  32
65.55  27
63.37  15

***

[8]
Simulated XRD peak list
Compound: Nd2SmCd4Si4
Radiation: λ = 1.5418 Å (Cu Kα)
Structure: a DFT-relaxed cell (GGA-PBE, OQMD)
Kinematic intensities with the Lorentz-polarization factor, no thermal factor.

```
Nd2SmCd4Si4
1.0
-2.106 2.185 13.261
2.106 -2.185 13.261
2.106 2.185 -13.261
Nd Sm Cd Si
2 1 4 4
Direct
0.142 0.142 0.000
0.858 0.858 0.000
0.500 0.000 0.500
0.249 0.749 0.500
0.409 0.409 0.000
0.591 0.591 0.000
0.751 0.251 0.500
0.044 0.544 0.500
0.314 0.314 0.000
0.686 0.686 0.000
0.956 0.456 0.500
```

Top 6 peaks for 10 to 90 degrees two-theta, by intensity:
two_theta  intensity
32.47  100
31.77  31
42.84  20
41.33  19
42.95  17
53.05  14

***

[9]
Simulated XRD peak list
Compound: NdSmCd2Sn2
Radiation: λ = 1.5418 Å (Cu Kα)
Structure: a DFT-relaxed cell (GGA-PBE, OQMD)
Kinematic intensities with the Lorentz-polarization factor, no thermal factor.

```
NdSmCd2Sn2
1.0
4.806 0.000 0.000
-2.403 4.162 0.000
0.000 0.000 16.165
Nd Sm Cd Sn
2 2 4 4
Direct
0.000 0.000 0.250
0.000 0.000 0.750
0.000 0.000 0.000
0.000 0.000 0.500
0.333 0.667 0.152
0.333 0.667 0.348
0.667 0.333 0.652
0.667 0.333 0.848
0.333 0.667 0.608
0.333 0.667 0.892
0.667 0.333 0.108
0.667 0.333 0.392
```

Top 6 peaks for 10 to 90 degrees two-theta, by intensity:
two_theta  intensity
30.84  100
37.43  72
49.25  27
63.46  25
59.81  21
67.54  19

***

[10]
Simulated XRD peak list
Compound: NdYTl2Cd2
Radiation: λ = 1.5418 Å (Cu Kα)
Structure: a DFT-relaxed cell (GGA-PBE, OQMD)
Kinematic intensities with the Lorentz-polarization factor, no thermal factor.

```
NdYTl2Cd2
1.0
4.929 0.000 0.000
-2.465 4.269 0.000
0.000 0.000 7.604
Nd Y Tl Cd
1 1 2 2
Direct
0.000 0.000 0.000
0.000 0.000 0.500
0.333 0.667 0.703
0.667 0.333 0.212
0.333 0.667 0.295
0.667 0.333 0.785
```

Top 6 peaks for 10 to 90 degrees two-theta, by intensity:
two_theta  intensity
31.51  100
36.46  97
23.91  33
48.94  29
41.43  29
62.54  28

***

[11]
Simulated XRD peak list
Compound: CdNi15
Radiation: λ = 1.5418 Å (Cu Kα)
Structure: a DFT-relaxed cell (GGA-PBE, OQMD)
Kinematic intensities with the Lorentz-polarization factor, no thermal factor.

```
CdNi15
1.0
4.274 0.000 0.000
0.000 33.707 0.000
-1.382 0.000 4.045
Cd Ni
2 30
Direct
0.000 0.208 0.250
0.000 0.792 0.750
0.000 0.260 0.750
0.000 0.297 0.250
0.000 0.334 0.750
0.000 0.371 0.250
0.000 0.408 0.750
0.000 0.445 0.250
0.000 0.482 0.750
0.000 0.518 0.250
0.000 0.555 0.750
0.000 0.592 0.250
0.000 0.629 0.750
0.000 0.666 0.250
0.000 0.703 0.750
0.000 0.740 0.250
0.500 0.226 0.750
0.500 0.260 0.250
0.500 0.298 0.750
0.500 0.334 0.250
0.500 0.371 0.750
0.500 0.408 0.250
0.500 0.445 0.750
0.500 0.482 0.250
0.500 0.518 0.750
0.500 0.555 0.250
0.500 0.592 0.750
0.500 0.629 0.250
0.500 0.666 0.750
0.500 0.702 0.250
0.500 0.740 0.750
0.500 0.774 0.250
```

Top 6 peaks for 10 to 90 degrees two-theta, by intensity:
two_theta  intensity
44.84  100
43.54  54
45.84  38
50.88  33
52.67  30
52.94  25

***

[12]
Simulated XRD peak list
Compound: CdNi15
Radiation: λ = 1.5418 Å (Cu Kα)
Structure: a DFT-relaxed cell (GGA-PBE, OQMD)
Kinematic intensities with the Lorentz-polarization factor, no thermal factor.

```
CdNi15
1.0
5.026 0.000 0.000
0.000 3.477 0.000
-0.001 0.000 33.498
Cd Ni
2 30
Direct
0.000 0.000 0.000
0.250 0.500 0.425
0.000 0.000 0.547
0.000 0.000 0.621
0.000 0.000 0.694
0.000 0.000 0.768
0.000 0.000 0.841
0.000 0.000 0.915
0.250 0.500 0.510
0.250 0.500 0.584
0.250 0.500 0.657
0.250 0.500 0.731
0.250 0.500 0.805
0.250 0.500 0.878
0.256 0.500 0.952
0.500 0.000 0.547
0.500 0.000 0.621
0.500 0.000 0.694
0.500 0.000 0.768
0.500 0.000 0.842
0.500 0.000 0.915
0.500 0.000 0.988
0.506 0.000 0.473
0.744 0.500 0.952
0.750 0.500 0.437
0.750 0.500 0.510
0.750 0.500 0.584
0.750 0.500 0.657
0.750 0.500 0.731
0.750 0.500 0.805
0.750 0.500 0.878
0.994 0.000 0.473
```

Top 6 peaks for 10 to 90 degrees two-theta, by intensity:
two_theta  intensity
44.48  100
43.73  76
46.05  58
50.75  48
44.57  46
52.83  37